(1)
# AcTb5Nd3
Theoretical XRD peak list, Cu Kα (λ = 1.5418 Å). Input: a crystal structure in Alexandria, relaxed with GGA-PBE.
Kinematic intensities with the Lorentz-polarization factor, no thermal factor.

Top 10 peaks for 2θ from 10° to 90°, by angle:
2θ 15.23, intensity 64; 2θ 20.30, intensity 34; 2θ 24.65, intensity 45; 2θ 29.97, intensity 36; 2θ 30.74, intensity 100; 2θ 31.04, intensity 77; 2θ 31.62, intensity 87; 2θ 33.78, intensity 85; 2θ 38.13, intensity 43; 2θ 38.62, intensity 54

Crystal structure
```
AcTb5Nd3
1.0
6.163 -5.817 0.000
6.163 5.817 0.000
-2.571 0.000 9.833
Ac Tb Nd
2 10 6
Direct
0.241 0.241 0.219
0.759 0.759 0.781
0.101 0.609 0.384
0.245 0.245 0.894
0.254 0.746 0.000
0.260 0.260 0.574
0.391 0.899 0.616
0.609 0.101 0.384
0.740 0.740 0.426
0.746 0.254 0.000
0.755 0.755 0.106
0.899 0.391 0.616
0.000 0.000 0.000
0.011 0.011 0.343
0.491 0.491 0.823
0.500 0.500 0.500
0.509 0.509 0.177
0.989 0.989 0.657
```

(2)
# Ac3Tb3Nd5
Theoretical XRD peak list, Cu Kα (λ = 1.5418 Å). Input: a crystal structure in Alexandria, relaxed with GGA-PBE.
Kinematic intensities with the Lorentz-polarization factor, no thermal factor.

Top 10 peaks for 2θ from 10° to 90°, by angle:
2θ 10.51, intensity 25; 2θ 14.48, intensity 26; 2θ 18.25, intensity 41; 2θ 23.38, intensity 38; 2θ 25.69, intensity 47; 2θ 29.20, intensity 57; 2θ 31.70, intensity 100; 2θ 31.89, intensity 42; 2θ 41.40, intensity 47; 2θ 43.79, intensity 35

Crystal structure
```
Ac3Tb3Nd5
1.0
9.720 0.000 0.000
-4.860 8.418 0.000
0.000 0.000 6.116
Ac Tb Nd
3 3 5
Direct
0.000 0.583 0.000
0.417 0.417 0.000
0.583 0.000 0.000
0.000 0.746 0.500
0.254 0.254 0.500
0.746 0.000 0.500
0.000 0.378 0.500
0.333 0.667 0.500
0.378 0.000 0.500
0.622 0.622 0.500
0.667 0.333 0.500
```

(3)
# AcTb3Nd6
Theoretical XRD peak list, Cu Kα (λ = 1.5418 Å). Input: a crystal structure in Alexandria, relaxed with GGA-PBE.
Kinematic intensities with the Lorentz-polarization factor, no thermal factor.

Top 10 peaks for 2θ from 10° to 90°, by angle:
2θ 28.06, intensity 21; 2θ 29.23, intensity 53; 2θ 30.11, intensity 100; 2θ 31.35, intensity 21; 2θ 31.74, intensity 41; 2θ 32.06, intensity 56; 2θ 48.94, intensity 18; 2θ 56.08, intensity 24; 2θ 58.57, intensity 17; 2θ 59.51, intensity 19

Crystal structure
```
AcTb3Nd6
1.0
12.857 0.000 0.000
0.000 3.722 0.000
-1.663 0.000 14.820
Ac Tb Nd
2 6 12
Direct
0.156 0.250 0.369
0.844 0.750 0.631
0.045 0.250 0.792
0.438 0.250 0.318
0.459 0.250 0.092
0.541 0.750 0.908
0.562 0.750 0.682
0.955 0.750 0.208
0.102 0.250 0.033
0.111 0.750 0.584
0.255 0.750 0.184
0.275 0.750 0.924
0.333 0.250 0.728
0.373 0.750 0.507
0.627 0.250 0.493
0.667 0.750 0.272
0.725 0.250 0.076
0.745 0.250 0.816
0.889 0.250 0.416
0.898 0.750 0.967
```

(4)
# Ac3Tb2Nd3
Theoretical XRD peak list, Cu Kα (λ = 1.5418 Å). Input: a crystal structure in Alexandria, relaxed with GGA-PBE.
Kinematic intensities with the Lorentz-polarization factor, no thermal factor.

Top 10 peaks for 2θ from 10° to 90°, by angle:
2θ 28.81, intensity 58; 2θ 30.56, intensity 100; 2θ 41.20, intensity 23; 2θ 46.22, intensity 8; 2θ 52.16, intensity 46; 2θ 55.38, intensity 19; 2θ 63.62, intensity 13; 2θ 68.54, intensity 10; 2θ 75.82, intensity 7; 2θ 85.82, intensity 11

Crystal structure
```
Ac3Tb2Nd3
1.0
6.190 0.000 0.000
0.000 6.204 0.000
0.000 0.000 7.857
Ac Tb Nd
3 2 3
Direct
0.000 0.000 0.000
0.000 0.000 0.500
0.500 0.500 0.000
0.000 0.500 0.258
0.000 0.500 0.742
0.500 0.000 0.259
0.500 0.000 0.741
0.500 0.500 0.500
```

(5)
# Ac3Tb2Nd6
Theoretical XRD peak list, Cu Kα (λ = 1.5418 Å). Input: a crystal structure in Alexandria, relaxed with GGA-PBE.
Kinematic intensities with the Lorentz-polarization factor, no thermal factor.

Top 10 peaks for 2θ from 10° to 90°, by angle:
2θ 29.14, intensity 100; 2θ 29.40, intensity 29; 2θ 33.85, intensity 65; 2θ 48.45, intensity 25; 2θ 48.79, intensity 20; 2θ 57.54, intensity 15; 2θ 57.69, intensity 27; 2θ 57.99, intensity 12; 2θ 60.41, intensity 12; 2θ 78.46, intensity 12

Crystal structure
```
Ac3Tb2Nd6
1.0
1.879 1.085 33.419
-1.879 1.085 33.419
0.000 -2.170 33.419
Ac Tb Nd
3 2 6
Direct
0.000 0.000 0.000
0.271 0.271 0.271
0.729 0.729 0.729
0.456 0.456 0.456
0.544 0.544 0.544
0.094 0.094 0.094
0.182 0.182 0.182
0.365 0.365 0.365
0.635 0.635 0.635
0.818 0.818 0.818
0.906 0.906 0.906
```

(6)
# Ac5TbNd2
Theoretical XRD peak list, Cu Kα (λ = 1.5418 Å). Input: a crystal structure in Alexandria, relaxed with GGA-PBE.
Kinematic intensities with the Lorentz-polarization factor, no thermal factor.

Top 10 peaks for 2θ from 10° to 90°, by angle:
2θ 28.33, intensity 100; 2θ 32.36, intensity 18; 2θ 33.05, intensity 33; 2θ 46.94, intensity 25; 2θ 47.44, intensity 12; 2θ 55.28, intensity 16; 2θ 56.18, intensity 29; 2θ 58.60, intensity 13; 2θ 75.77, intensity 12; 2θ 87.97, intensity 8

Crystal structure
```
Ac5TbNd2
1.0
7.660 0.000 0.000
0.000 15.340 0.000
0.000 0.000 5.533
Ac Tb Nd
10 2 4
Direct
0.000 0.000 0.000
0.012 0.254 0.000
0.240 0.621 0.500
0.260 0.121 0.500
0.488 0.754 0.000
0.500 0.500 0.000
0.512 0.246 0.000
0.740 0.879 0.500
0.760 0.379 0.500
0.988 0.746 0.000
0.000 0.500 0.000
0.500 0.000 0.000
0.243 0.876 0.500
0.257 0.376 0.500
0.743 0.624 0.500
0.757 0.124 0.500
```

(7)
# Ac2Tb2Nd5
Theoretical XRD peak list, Cu Kα (λ = 1.5418 Å). Input: a crystal structure in Alexandria, relaxed with GGA-PBE.
Kinematic intensities with the Lorentz-polarization factor, no thermal factor.

Top 10 peaks for 2θ from 10° to 90°, by angle:
2θ 27.48, intensity 100; 2θ 28.68, intensity 86; 2θ 29.54, intensity 82; 2θ 29.91, intensity 39; 2θ 31.79, intensity 37; 2θ 32.03, intensity 32; 2θ 34.33, intensity 74; 2θ 45.33, intensity 23; 2θ 46.48, intensity 25; 2θ 56.72, intensity 25

Crystal structure
```
Ac2Tb2Nd5
1.0
-7.692 6.224 3.460
7.692 -6.224 3.460
7.692 6.224 -3.460
Ac Tb Nd
4 4 10
Direct
0.003 0.124 0.127
0.003 0.376 0.379
0.997 0.624 0.621
0.997 0.876 0.873
0.467 0.467 0.000
0.467 0.967 0.500
0.527 0.281 0.746
0.535 0.781 0.254
0.093 0.605 0.988
0.097 0.181 0.628
0.097 0.969 0.416
0.408 0.098 0.205
0.408 0.702 0.809
0.553 0.469 0.372
0.553 0.681 0.584
0.618 0.105 0.012
0.893 0.202 0.795
0.893 0.598 0.191
```

(8)
# Ac8Tb2Nd
Theoretical XRD peak list, Cu Kα (λ = 1.5418 Å). Input: a crystal structure in Alexandria, relaxed with GGA-PBE.
Kinematic intensities with the Lorentz-polarization factor, no thermal factor.

Top 10 peaks for 2θ from 10° to 90°, by angle:
2θ 22.77, intensity 61; 2θ 26.43, intensity 72; 2θ 28.63, intensity 51; 2θ 29.01, intensity 87; 2θ 29.56, intensity 71; 2θ 31.53, intensity 100; 2θ 32.88, intensity 26; 2θ 35.41, intensity 32; 2θ 36.20, intensity 23; 2θ 53.03, intensity 24

Crystal structure
```
Ac8Tb2Nd
1.0
6.723 -6.157 0.000
6.723 6.157 0.000
-1.386 0.000 6.075
Ac Tb Nd
8 2 1
Direct
0.080 0.080 0.293
0.135 0.643 0.190
0.357 0.357 0.493
0.357 0.865 0.810
0.643 0.135 0.190
0.643 0.643 0.507
0.865 0.357 0.810
0.920 0.920 0.707
0.238 0.238 0.919
0.762 0.762 0.081
0.500 0.500 0.000
```

(9)
# Ac4TbNd2
Theoretical XRD peak list, Cu Kα (λ = 1.5418 Å). Input: a crystal structure in Alexandria, relaxed with GGA-PBE.
Kinematic intensities with the Lorentz-polarization factor, no thermal factor.

Top 10 peaks for 2θ from 10° to 90°, by angle:
2θ 24.84, intensity 47; 2θ 27.99, intensity 27; 2θ 28.51, intensity 56; 2θ 29.14, intensity 100; 2θ 33.29, intensity 76; 2θ 38.17, intensity 31; 2θ 50.89, intensity 23; 2θ 53.61, intensity 20; 2θ 57.68, intensity 30; 2θ 59.26, intensity 21

Crystal structure
```
Ac4TbNd2
1.0
3.131 -12.298 0.000
3.131 12.298 0.000
0.000 0.000 3.746
Ac Tb Nd
4 1 2
Direct
0.078 0.922 0.000
0.364 0.636 0.500
0.636 0.364 0.500
0.922 0.078 0.000
0.500 0.500 0.000
0.214 0.786 0.500
0.786 0.214 0.500
```

(10)
# AcTb4Nd4
Theoretical XRD peak list, Cu Kα (λ = 1.5418 Å). Input: a crystal structure in Alexandria, relaxed with GGA-PBE.
Kinematic intensities with the Lorentz-polarization factor, no thermal factor.

Top 10 peaks for 2θ from 10° to 90°, by angle:
2θ 29.87, intensity 100; 2θ 34.62, intensity 51; 2θ 49.77, intensity 36; 2θ 59.11, intensity 11; 2θ 59.15, intensity 33; 2θ 62.05, intensity 12; 2θ 73.05, intensity 6; 2θ 80.82, intensity 6; 2θ 80.88, intensity 10; 2θ 83.40, intensity 11

Crystal structure
```
AcTb4Nd4
1.0
6.346 0.000 0.000
-1.062 9.638 0.000
-3.166 -2.426 10.233
Ac Tb Nd
2 8 8
Direct
0.249 0.416 0.196
0.751 0.584 0.804
0.244 0.414 0.528
0.249 0.083 0.637
0.250 0.079 0.308
0.259 0.756 0.087
0.741 0.244 0.913
0.750 0.921 0.692
0.751 0.917 0.363
0.756 0.586 0.472
0.246 0.080 0.970
0.248 0.412 0.857
0.250 0.755 0.748
0.254 0.755 0.419
0.746 0.245 0.581
0.750 0.245 0.252
0.752 0.588 0.143
0.754 0.920 0.030
```

(11)
# Ac6Tb4Nd
Theoretical XRD peak list, Cu Kα (λ = 1.5418 Å). Input: a crystal structure in Alexandria, relaxed with GGA-PBE.
Kinematic intensities with the Lorentz-polarization factor, no thermal factor.

Top 10 peaks for 2θ from 10° to 90°, by angle:
2θ 26.39, intensity 80; 2θ 27.43, intensity 91; 2θ 27.68, intensity 100; 2θ 29.89, intensity 34; 2θ 32.61, intensity 36; 2θ 34.18, intensity 33; 2θ 38.36, intensity 25; 2θ 40.01, intensity 28; 2θ 46.03, intensity 24; 2θ 51.06, intensity 51

Crystal structure
```
Ac6Tb4Nd
1.0
-3.710 3.710 8.166
3.710 -3.710 8.166
3.710 3.710 -8.166
Ac Tb Nd
6 4 1
Direct
0.000 0.500 0.500
0.014 0.620 0.000
0.380 0.380 0.394
0.500 0.000 0.500
0.620 0.014 0.000
0.986 0.986 0.606
0.245 0.245 0.687
0.442 0.755 0.000
0.558 0.558 0.313
0.755 0.442 0.000
0.000 0.000 0.000
```

(12)
# Ac6TbNd3
Theoretical XRD peak list, Cu Kα (λ = 1.5418 Å). Input: a crystal structure in Alexandria, relaxed with GGA-PBE.
Kinematic intensities with the Lorentz-polarization factor, no thermal factor.

Top 10 peaks for 2θ from 10° to 90°, by angle:
2θ 25.59, intensity 24; 2θ 27.65, intensity 32; 2θ 28.26, intensity 30; 2θ 28.61, intensity 100; 2θ 29.39, intensity 41; 2θ 29.54, intensity 40; 2θ 30.84, intensity 66; 2θ 31.21, intensity 29; 2θ 31.79, intensity 24; 2θ 52.59, intensity 22

Crystal structure
```
Ac6TbNd3
1.0
6.065 -3.748 0.000
6.065 3.748 0.000
-2.404 0.000 9.132
Ac Tb Nd
6 1 3
Direct
0.089 0.577 0.203
0.130 0.130 0.408
0.423 0.911 0.797
0.577 0.089 0.203
0.870 0.870 0.592
0.911 0.423 0.797
0.000 0.000 0.000
0.412 0.412 0.840
0.500 0.500 0.500
0.588 0.588 0.160
```